(1)
# Nb4FeC2S4
Theoretical PXRD pattern, Cu Kα (weighted mean of Kα1 and Kα2). Input: the PBE geometry in Alexandria.
Lines closer than 0.1° are merged.

Peak list (12 most intense, 2θ = 10–90°, sorted by position)
d_spacing  I (rel.)
8.595  100
2.859  71
2.855  27
2.631  21
2.527  27
2.503  60
2.273  52
2.253  24
2.161  36
2.149  20
2.138  63
1.660  63

```
data_Nb4FeC2S4
_symmetry_space_group_name_H-M 'P 1'
_symmetry_Int_Tables_number 1
_cell_length_a 5.7553
_cell_length_b 3.3166
_cell_length_c 8.7819
_cell_angle_alpha 90.00
_cell_angle_beta 101.84
_cell_angle_gamma 90.00
loop_
_symmetry_equiv_pos_as_xyz
'x,y,z'
loop_
_atom_site_label
_atom_site_type_symbol
_atom_site_fract_x
_atom_site_fract_y
_atom_site_fract_z
Nb1 Nb 0.1204 0.0000 0.3656
Nb2 Nb 0.3716 0.5000 0.6348
Nb3 Nb 0.6284 0.5000 0.3652
Nb4 Nb 0.8796 0.0000 0.6344
Fe1 Fe 0.0000 0.0000 0.0000
C1 C 0.0000 0.5000 0.5000
C2 C 0.5000 0.0000 0.5000
S1 S 0.2313 0.5000 0.1666
S2 S 0.2723 0.0000 0.8307
S3 S 0.7277 0.0000 0.1693
S4 S 0.7687 0.5000 0.8334
```

(2)
# Nd2Fe17C
Theoretical PXRD pattern, Cu Kα (weighted mean of Kα1 and Kα2). Input: the PBE geometry in Alexandria.
Lines closer than 0.1° are merged.

Peak list (12 most intense, 2θ = 10–90°, sorted by position)
d_spacing  I (rel.)
2.990  47
2.511  17
2.501  32
2.386  28
2.172  59
2.164  29
2.148  21
2.140  100
2.092  25
2.065  58
1.922  19
1.494  14

```
data_Nd2Fe17C
_symmetry_space_group_name_H-M 'P 1'
_symmetry_Int_Tables_number 1
_cell_length_a 6.4900
_cell_length_b 6.4900
_cell_length_c 6.4921
_cell_angle_alpha 96.00
_cell_angle_beta 96.00
_cell_angle_gamma 83.64
loop_
_symmetry_equiv_pos_as_xyz
'x,y,z'
loop_
_atom_site_label
_atom_site_type_symbol
_atom_site_fract_x
_atom_site_fract_y
_atom_site_fract_z
Nd1 Nd 0.1615 0.1615 0.3541
Nd2 Nd 0.8385 0.8385 0.6459
Fe1 Fe 0.0000 0.5000 0.0000
Fe2 Fe 0.1581 0.1581 0.8536
Fe3 Fe 0.1579 0.6482 0.3429
Fe4 Fe 0.2141 0.7859 0.0000
Fe5 Fe 0.2169 0.5016 0.7175
Fe6 Fe 0.3518 0.8421 0.6571
Fe7 Fe 0.4036 0.4036 0.0980
Fe8 Fe 0.4984 0.7831 0.2825
Fe9 Fe 0.5000 0.0000 0.0000
Fe10 Fe 0.5000 0.5000 0.5000
Fe11 Fe 0.5016 0.2169 0.7175
Fe12 Fe 0.5964 0.5964 0.9020
Fe13 Fe 0.6482 0.1579 0.3429
Fe14 Fe 0.7831 0.4984 0.2825
Fe15 Fe 0.7859 0.2141 0.0000
Fe16 Fe 0.8421 0.3518 0.6571
Fe17 Fe 0.8419 0.8419 0.1464
C1 C 0.0000 0.0000 0.0000
```

(3)
# FeNiC
Theoretical PXRD pattern, Cu Kα (weighted mean of Kα1 and Kα2). Input: the PBE geometry in Alexandria.
Lines closer than 0.1° are merged.

Peak list (12 most intense, 2θ = 10–90°, sorted by position)
d_spacing  I (rel.)
2.509  69
2.254  54
2.183  100
1.677  48
1.647  89
1.287  19
1.255  9
1.247  9
1.145  20
1.117  9
1.096  9
1.091  9

```
data_FeNiC
_symmetry_space_group_name_H-M 'P 1'
_symmetry_Int_Tables_number 1
_cell_length_a 4.9893
_cell_length_b 5.0187
_cell_length_c 4.5070
_cell_angle_alpha 90.00
_cell_angle_beta 90.00
_cell_angle_gamma 90.00
loop_
_symmetry_equiv_pos_as_xyz
'x,y,z'
loop_
_atom_site_label
_atom_site_type_symbol
_atom_site_fract_x
_atom_site_fract_y
_atom_site_fract_z
Fe1 Fe 0.2500 0.0000 0.0000
Fe2 Fe 0.2500 0.5000 0.0000
Fe3 Fe 0.7500 0.0000 0.0000
Fe4 Fe 0.7500 0.5000 0.0000
Ni1 Ni 0.0000 0.0000 0.5000
Ni2 Ni 0.0000 0.5000 0.5000
Ni3 Ni 0.5000 0.0000 0.5000
Ni4 Ni 0.5000 0.5000 0.5000
C1 C 0.0000 0.2500 0.1731
C2 C 0.0000 0.7500 0.8269
C3 C 0.5000 0.2500 0.8269
C4 C 0.5000 0.7500 0.1731
```

(4)
# Fe4NiC
Theoretical PXRD pattern, Cu Kα (weighted mean of Kα1 and Kα2). Input: the PBE geometry in Alexandria.
Lines closer than 0.1° are merged.

Peak list (12 most intense, 2θ = 10–90°, sorted by position)
d_spacing  I (rel.)
2.527  45
2.239  87
2.225  48
2.112  68
2.021  30
1.990  100
1.841  39
1.829  28
1.821  30
1.704  31
1.476  27
1.282  25

```
data_Fe4NiC
_symmetry_space_group_name_H-M 'P 1'
_symmetry_Int_Tables_number 1
_cell_length_a 4.6963
_cell_length_b 4.8353
_cell_length_c 5.9275
_cell_angle_alpha 90.00
_cell_angle_beta 90.00
_cell_angle_gamma 90.00
loop_
_symmetry_equiv_pos_as_xyz
'x,y,z'
loop_
_atom_site_label
_atom_site_type_symbol
_atom_site_fract_x
_atom_site_fract_y
_atom_site_fract_z
Fe1 Fe 0.0000 0.1649 0.1367
Fe2 Fe 0.0000 0.8351 0.8633
Fe3 Fe 0.2500 0.3468 0.7500
Fe4 Fe 0.2500 0.6532 0.2500
Fe5 Fe 0.5000 0.1649 0.3633
Fe6 Fe 0.5000 0.8351 0.6367
Fe7 Fe 0.7500 0.3468 0.7500
Fe8 Fe 0.7500 0.6532 0.2500
Ni1 Ni 0.0000 0.0000 0.5000
Ni2 Ni 0.5000 0.0000 0.0000
C1 C 0.0000 0.5000 0.0000
C2 C 0.5000 0.5000 0.5000
```

(5)
# FeNiC
Theoretical PXRD pattern, Cu Kα (weighted mean of Kα1 and Kα2). Input: the PBE geometry in Alexandria.
Lines closer than 0.1° are merged.

Peak list (12 most intense, 2θ = 10–90°, sorted by position)
d_spacing  I (rel.)
2.403  100
2.275  44
1.925  57
1.663  36
1.624  33
1.470  25
1.246  14
1.156  8
1.152  10
1.143  8
1.118  8
1.093  14

```
data_FeNiC
_symmetry_space_group_name_H-M 'P 1'
_symmetry_Int_Tables_number 1
_cell_length_a 3.4761
_cell_length_b 9.0992
_cell_length_c 3.5734
_cell_angle_alpha 90.00
_cell_angle_beta 90.00
_cell_angle_gamma 90.00
loop_
_symmetry_equiv_pos_as_xyz
'x,y,z'
loop_
_atom_site_label
_atom_site_type_symbol
_atom_site_fract_x
_atom_site_fract_y
_atom_site_fract_z
Fe1 Fe 0.0000 0.2496 0.2500
Fe2 Fe 0.0000 0.7504 0.7500
Fe3 Fe 0.5000 0.2504 0.7500
Fe4 Fe 0.5000 0.7496 0.2500
Ni1 Ni 0.2500 0.0000 0.5000
Ni2 Ni 0.2500 0.5000 0.0000
Ni3 Ni 0.7500 0.0000 0.0000
Ni4 Ni 0.7500 0.5000 0.5000
C1 C 0.0000 0.1614 0.7500
C2 C 0.0000 0.8386 0.2500
C3 C 0.5000 0.3386 0.2500
C4 C 0.5000 0.6614 0.7500
```

(6)
# Fe3Ni2C
Theoretical PXRD pattern, Cu Kα (weighted mean of Kα1 and Kα2). Input: the PBE geometry in Alexandria.
Lines closer than 0.1° are merged.

Peak list (12 most intense, 2θ = 10–90°, sorted by position)
d_spacing  I (rel.)
4.416  3
2.208  2
2.082  100
1.975  53
1.883  31
1.669  11
1.472  5
1.396  4
1.225  26
1.202  4
1.160  20
1.140  5

```
data_Fe3Ni2C
_symmetry_space_group_name_H-M 'P 1'
_symmetry_Int_Tables_number 1
_cell_length_a 6.2452
_cell_length_b 6.2452
_cell_length_c 6.2452
_cell_angle_alpha 90.00
_cell_angle_beta 90.00
_cell_angle_gamma 90.00
loop_
_symmetry_equiv_pos_as_xyz
'x,y,z'
loop_
_atom_site_label
_atom_site_type_symbol
_atom_site_fract_x
_atom_site_fract_y
_atom_site_fract_z
Fe1 Fe 0.0511 0.1250 0.8011
Fe2 Fe 0.1250 0.8011 0.0511
Fe3 Fe 0.1989 0.5511 0.3750
Fe4 Fe 0.3011 0.4489 0.8750
Fe5 Fe 0.3750 0.1989 0.5511
Fe6 Fe 0.4489 0.8750 0.3011
Fe7 Fe 0.5511 0.3750 0.1989
Fe8 Fe 0.6250 0.6989 0.9489
Fe9 Fe 0.6989 0.9489 0.6250
Fe10 Fe 0.8011 0.0511 0.1250
Fe11 Fe 0.8750 0.3011 0.4489
Fe12 Fe 0.9489 0.6250 0.6989
Ni1 Ni 0.0628 0.9372 0.4372
Ni2 Ni 0.1872 0.1872 0.1872
Ni3 Ni 0.3128 0.8128 0.6872
Ni4 Ni 0.4372 0.0628 0.9372
Ni5 Ni 0.5628 0.5628 0.5628
Ni6 Ni 0.6872 0.3128 0.8128
Ni7 Ni 0.8128 0.6872 0.3128
Ni8 Ni 0.9372 0.4372 0.0628
C1 C 0.1250 0.3750 0.6250
C2 C 0.3750 0.6250 0.1250
C3 C 0.6250 0.1250 0.3750
C4 C 0.8750 0.8750 0.8750
```